The following is a theoretical PXRD pattern of Tb3Tm3Hg2. It was derived from a PBE-relaxed structure, using Cu Ka.

a = 6.327 Å, b = 6.327 Å, c = 15.801 Å
α = 90.00°, β = 90.00°, γ = 132.47°
Atoms (fractional coordinates):
Tb: 0.041 0.959 0.607
Tb: 0.041 0.959 0.893
Tb: 0.282 0.718 0.750
Tb: 0.718 0.282 0.250
Tb: 0.959 0.041 0.107
Tb: 0.959 0.041 0.393
Tm: 0.357 0.643 0.534
Tm: 0.357 0.643 0.966
Tm: 0.429 0.571 0.250
Tm: 0.571 0.429 0.750
Tm: 0.643 0.357 0.034
Tm: 0.643 0.357 0.466
Hg: 0.231 0.769 0.127
Hg: 0.231 0.769 0.373
Hg: 0.769 0.231 0.627
Hg: 0.769 0.231 0.873

Peak list (12 most intense, 2θ from 10° to 90°, by intensity)
- 2θ 33.7, I = 1000
- 2θ 29.6, I = 873
- 2θ 35.2, I = 609
- 2θ 34.3, I = 488
- 2θ 31.4, I = 326
- 2θ 38.6, I = 221
- 2θ 40.9, I = 209
- 2θ 47.9, I = 204
- 2θ 29.0, I = 202
- 2θ 62.2, I = 173
- 2θ 53.2, I = 155
- 2θ 31.2, I = 137

The following is a theoretical PXRD pattern of Tb2Tm2Hg7. It was derived from a PBE-relaxed structure, using Cu Ka.

a = 7.451 Å, b = 7.451 Å, c = 5.269 Å
α = 94.05°, β = 94.05°, γ = 78.52°
Atoms (fractional coordinates):
Tb: 0.200 0.800 0.000
Tb: 0.800 0.200 0.000
Tm: 0.277 0.277 0.242
Tm: 0.723 0.723 0.758
Hg: 0.000 0.000 0.500
Hg: 0.053 0.399 0.734
Hg: 0.399 0.053 0.734
Hg: 0.447 0.447 0.734
Hg: 0.553 0.553 0.266
Hg: 0.601 0.947 0.266
Hg: 0.947 0.601 0.266

Peak list (12 most intense, 2θ from 10° to 90°, by intensity)
- 2θ 40.0, I = 1000
- 2θ 34.5, I = 887
- 2θ 31.1, I = 708
- 2θ 34.2, I = 515
- 2θ 30.7, I = 412
- 2θ 41.9, I = 364
- 2θ 37.0, I = 318
- 2θ 36.3, I = 316
- 2θ 39.0, I = 271
- 2θ 35.7, I = 270
- 2θ 29.5, I = 256
- 2θ 60.5, I = 225

The following is a theoretical PXRD pattern of Tb3Tm4Hg4. It was derived from a PBE-relaxed structure, using Cu Ka.

a = 9.375 Å, b = 9.375 Å, c = 9.375 Å
α = 148.26°, β = 134.70°, γ = 56.37°
Atoms (fractional coordinates):
Tb: 0.000 0.000 0.000
Tb: 0.396 0.896 0.500
Tb: 0.604 0.104 0.500
Tm: 0.053 0.322 0.731
Tm: 0.409 0.678 0.731
Tm: 0.591 0.322 0.269
Tm: 0.947 0.678 0.269
Hg: 0.189 0.189 0.000
Hg: 0.293 0.500 0.793
Hg: 0.707 0.500 0.207
Hg: 0.811 0.811 0.000

Peak list (12 most intense, 2θ from 10° to 90°, by intensity)
- 2θ 30.8, I = 1000
- 2θ 35.0, I = 478
- 2θ 41.0, I = 405
- 2θ 29.7, I = 249
- 2θ 30.4, I = 234
- 2θ 32.5, I = 228
- 2θ 34.5, I = 203
- 2θ 70.3, I = 192
- 2θ 39.2, I = 175
- 2θ 60.2, I = 158
- 2θ 32.2, I = 153
- 2θ 48.5, I = 151